[1]
Structure and calculated powder X-ray diffraction pattern of PrNd4Te6 (a cell relaxed with PBE; Cu Kα X-rays).
No peak broadening, texture or thermal motion is included.

Unit cell a=7.689 b=7.689 c=22.909 alpha=90.00 beta=90.00 gamma=146.73
Sites, in units of the cell vectors:
Pr 0.156 0.844 0.750
Pr 0.844 0.156 0.250
Nd 0.086 0.914 0.126
Nd 0.086 0.914 0.374
Nd 0.357 0.643 0.036
Nd 0.357 0.643 0.464
Nd 0.643 0.357 0.536
Nd 0.643 0.357 0.964
Nd 0.914 0.086 0.626
Nd 0.914 0.086 0.874
Te 0.000 0.000 0.000
Te 0.000 0.000 0.500
Te 0.185 0.815 0.250
Te 0.268 0.732 0.594
Te 0.268 0.732 0.906
Te 0.444 0.556 0.166
Te 0.444 0.556 0.334
Te 0.556 0.444 0.666
Te 0.556 0.444 0.834
Te 0.732 0.268 0.094
Te 0.732 0.268 0.406
Te 0.815 0.185 0.750

Main lines, by intensity (2θ from 15° to 90°):
| 2θ/deg | I_rel |
| --- | --- |
| 28.32 | 100.0 |
| 29.66 | 59.4 |
| 26.29 | 54.4 |
| 27.49 | 50.1 |
| 41.00 | 39.5 |
| 37.98 | 39.4 |
| 39.94 | 36.4 |
| 40.04 | 31.3 |
| 29.87 | 31.0 |
| 41.79 | 30.3 |
| 58.58 | 23.6 |
| 34.69 | 19.6 |

=====

[2]
Structure and calculated powder X-ray diffraction pattern of PrNd3Te4 (a cell relaxed with PBE; Cu Kα X-rays).
No peak broadening, texture or thermal motion is included.

Unit cell a=4.434 b=4.434 c=30.442 alpha=90.00 beta=90.00 gamma=120.00
Sites, in units of the cell vectors:
Pr 0.333 0.667 0.250
Pr 0.667 0.333 0.750
Nd 0.000 0.000 0.000
Nd 0.000 0.000 0.500
Nd 0.333 0.667 0.623
Nd 0.333 0.667 0.877
Nd 0.667 0.333 0.123
Nd 0.667 0.333 0.377
Te 0.000 0.000 0.186
Te 0.000 0.000 0.314
Te 0.000 0.000 0.686
Te 0.000 0.000 0.814
Te 0.333 0.667 0.062
Te 0.333 0.667 0.438
Te 0.667 0.333 0.562
Te 0.667 0.333 0.938

Main lines, by intensity (2θ from 15° to 90°):
| 2θ/deg | I_rel |
| --- | --- |
| 27.46 | 100.0 |
| 29.17 | 88.2 |
| 40.70 | 82.8 |
| 64.55 | 41.5 |
| 40.17 | 39.6 |
| 37.71 | 35.3 |
| 25.99 | 19.9 |
| 49.80 | 19.3 |
| 50.85 | 18.7 |
| 47.80 | 17.3 |
| 66.20 | 16.3 |
| 67.08 | 16.1 |

=====

[3]
Structure and calculated powder X-ray diffraction pattern of Pr2Nd3Te5 (a cell relaxed with PBE; Cu Kα X-rays).
No peak broadening, texture or thermal motion is included.

Unit cell a=8.379 b=8.379 c=11.525 alpha=124.37 beta=124.37 gamma=29.87
Sites, in units of the cell vectors:
Pr 0.155 0.155 0.249
Pr 0.845 0.845 0.751
Nd 0.000 0.000 0.500
Nd 0.380 0.380 0.129
Nd 0.620 0.620 0.871
Te 0.216 0.216 0.791
Te 0.389 0.389 0.578
Te 0.500 0.500 0.000
Te 0.611 0.611 0.422
Te 0.784 0.784 0.209

Main lines, by intensity (2θ from 15° to 90°):
| 2θ/deg | I_rel |
| --- | --- |
| 27.40 | 100.0 |
| 29.20 | 55.7 |
| 41.82 | 32.8 |
| 36.19 | 27.6 |
| 31.38 | 27.3 |
| 51.82 | 24.5 |
| 40.78 | 23.5 |
| 36.29 | 23.0 |
| 34.22 | 20.8 |
| 40.17 | 20.7 |
| 31.52 | 17.5 |
| 64.85 | 14.2 |

=====

[4]
Structure and calculated powder X-ray diffraction pattern of Pr4NdTe5 (a cell relaxed with PBE; Cu Kα X-rays).
No peak broadening, texture or thermal motion is included.

Unit cell a=16.378 b=16.378 c=16.378 alpha=164.15 beta=164.15 gamma=22.49
Sites, in units of the cell vectors:
Pr 0.102 0.102 0.000
Pr 0.304 0.304 0.000
Pr 0.696 0.696 0.000
Pr 0.898 0.898 0.000
Nd 0.500 0.500 0.000
Te 0.000 0.000 0.000
Te 0.202 0.202 0.000
Te 0.402 0.402 0.000
Te 0.598 0.598 0.000
Te 0.798 0.798 0.000

Main lines, by intensity (2θ from 15° to 90°):
| 2θ/deg | I_rel |
| --- | --- |
| 27.93 | 100.0 |
| 39.80 | 75.5 |
| 27.77 | 49.6 |
| 49.32 | 40.6 |
| 39.91 | 38.3 |
| 65.28 | 35.1 |
| 72.40 | 25.6 |
| 64.99 | 16.5 |
| 57.72 | 12.9 |
| 72.16 | 12.1 |
| 85.79 | 7.8 |
| 57.36 | 6.0 |

=====

[5]
Structure and calculated powder X-ray diffraction pattern of Pr3Nd2Te6 (a cell relaxed with PBE; Cu Kα X-rays).
No peak broadening, texture or thermal motion is included.

Unit cell a=7.774 b=7.774 c=7.763 alpha=99.69 beta=99.69 gamma=119.80
Sites, in units of the cell vectors:
Pr 0.000 0.000 0.000
Pr 0.332 0.668 0.000
Pr 0.668 0.332 0.000
Nd 0.165 0.835 0.500
Nd 0.835 0.165 0.500
Te 0.096 0.420 0.259
Te 0.257 0.257 0.742
Te 0.420 0.096 0.259
Te 0.580 0.904 0.741
Te 0.743 0.743 0.258
Te 0.904 0.580 0.741

Main lines, by intensity (2θ from 15° to 90°):
| 2θ/deg | I_rel |
| --- | --- |
| 28.12 | 100.0 |
| 40.23 | 50.4 |
| 40.10 | 25.5 |
| 65.85 | 17.1 |
| 49.77 | 13.5 |
| 72.97 | 12.6 |
| 73.16 | 10.4 |
| 58.20 | 8.4 |
| 49.65 | 6.8 |
| 49.89 | 6.7 |
| 65.62 | 5.9 |
| 65.74 | 5.8 |

=====

[6]
Structure and calculated powder X-ray diffraction pattern of PrNd5Te5 (a cell relaxed with PBE; Cu Kα X-rays).
No peak broadening, texture or thermal motion is included.

Unit cell a=7.701 b=7.701 c=8.898 alpha=106.77 beta=106.77 gamma=48.45
Sites, in units of the cell vectors:
Pr 0.000 0.000 0.000
Nd 0.000 0.000 0.500
Nd 0.335 0.335 0.173
Nd 0.336 0.336 0.663
Nd 0.664 0.664 0.337
Nd 0.665 0.665 0.827
Te 0.166 0.166 0.335
Te 0.172 0.172 0.835
Te 0.500 0.500 0.000
Te 0.828 0.828 0.165
Te 0.834 0.834 0.665

Main lines, by intensity (2θ from 15° to 90°):
| 2θ/deg | I_rel |
| --- | --- |
| 28.39 | 100.0 |
| 40.49 | 95.9 |
| 28.24 | 50.9 |
| 50.18 | 41.0 |
| 66.45 | 26.0 |
| 73.75 | 19.1 |
| 40.62 | 18.9 |
| 66.20 | 18.0 |
| 73.55 | 13.0 |
| 58.75 | 12.6 |
| 66.57 | 8.6 |
| 87.56 | 8.4 |